No. 1
The following is a calculated PXRD pattern of Ce2Co5Cu5. It was derived from a DFT-relaxed cell (PBE, Alexandria), using Cu Kα.
Peak positions follow from Bragg's law for the DFT cell and can differ from measured ones.

Structure:
```
data_Ce2Co5Cu5
_chemical_formula_sum 'Ce2 Co5 Cu5'
_space_group_name_H-M_alt 'P m m m'
_space_group_IT_number 47
_cell_length_a 4.036
_cell_length_b 4.941
_cell_length_c 8.718
_cell_angle_alpha 90.00
_cell_angle_beta 90.00
_cell_angle_gamma 90.00
loop_
_space_group_symop_operation_xyz
'x,y,z'
'-x,-y,-z'
'-x,-y,z'
'x,y,-z'
'x,-y,-z'
'-x,y,z'
'-x,y,-z'
'x,-y,z'
loop_
_atom_site_label
_atom_site_fract_x
_atom_site_fract_y
_atom_site_fract_z
Ce1 0.000 0.000 0.000
Ce2 0.000 0.500 0.500
Co1 0.500 0.000 0.500
Co2 0.500 0.252 0.256
Cu1 0.000 0.000 0.332
Cu2 0.000 0.500 0.170
Cu3 0.500 0.500 0.000
```

Largest 10 diffraction maxima, by angle, 2θ from 15° to 90°:
2θ = 30.18°, I = 17
2θ = 30.38°, I = 40
2θ = 35.85°, I = 31
2θ = 41.43°, I = 16
2θ = 42.04°, I = 29
2θ = 42.47°, I = 100
2θ = 42.92°, I = 46
2θ = 44.92°, I = 39
2θ = 63.21°, I = 16
2θ = 69.63°, I = 21



No. 2
The following is a calculated PXRD pattern of K2AlP2Pd. It was derived from a DFT-relaxed cell (PBE, Alexandria), using Cu Kα.
Peak positions follow from Bragg's law for the DFT cell and can differ from measured ones.

Structure:
```
data_K2AlP2Pd
_chemical_formula_sum 'K8 Al4 P8 Pd4'
_space_group_name_H-M_alt 'I b a m'
_space_group_IT_number 72
_space_group_name_Hall '-I 2 2c'
_cell_length_a 5.925
_cell_length_b 15.478
_cell_length_c 6.047
_cell_angle_alpha 90.00
_cell_angle_beta 90.00
_cell_angle_gamma 90.00
loop_
_atom_site_label
_atom_site_fract_x
_atom_site_fract_y
_atom_site_fract_z
K1 0.229 0.173 0.000
Al1 0.000 0.500 0.250
P1 0.231 0.414 0.000
Pd1 0.000 0.000 0.250
```

Largest 10 diffraction maxima, by angle, 2θ from 15° to 90°:
2θ = 16.02°, I = 94
2θ = 22.86°, I = 33
2θ = 31.32°, I = 96
2θ = 31.78°, I = 67
2θ = 32.36°, I = 63
2θ = 33.78°, I = 33
2θ = 37.74°, I = 100
2θ = 38.26°, I = 66
2θ = 42.73°, I = 91
2θ = 44.38°, I = 32



No. 3
The following is a calculated PXRD pattern of Na3SiCl6. It was derived from a DFT-relaxed cell (PBE, Alexandria), using Cu Kα.
Peak positions follow from Bragg's law for the DFT cell and can differ from measured ones.

Structure:
```
data_Na3SiCl6
_chemical_formula_sum 'Na12 Si4 Cl24'
_space_group_name_H-M_alt 'F m m m'
_space_group_IT_number 69
_space_group_name_Hall '-F 2 2'
_cell_length_a 8.438
_cell_length_b 9.862
_cell_length_c 13.005
_cell_angle_alpha 90.00
_cell_angle_beta 90.00
_cell_angle_gamma 90.00
loop_
_atom_site_label
_atom_site_fract_x
_atom_site_fract_y
_atom_site_fract_z
Na1 0.000 0.000 0.000
Na2 0.250 0.250 0.250
Si1 0.000 0.000 0.500
Cl1 0.000 0.237 0.500
Cl2 0.204 0.000 0.369
```

Largest 10 diffraction maxima, by angle, 2θ from 15° to 90°:
2θ = 15.41°, I = 33
2θ = 17.99°, I = 23
2θ = 25.16°, I = 100
2θ = 33.00°, I = 60
2θ = 34.84°, I = 44
2θ = 36.44°, I = 51
2θ = 39.48°, I = 37
2θ = 42.88°, I = 26
2θ = 44.80°, I = 35
2θ = 51.30°, I = 24



No. 4
The following is a calculated PXRD pattern of PuMgTc2N4. It was derived from a DFT-relaxed cell (PBE, Alexandria), using Cu Kα.
Peak positions follow from Bragg's law for the DFT cell and can differ from measured ones.

Structure:
```
data_PuMgTc2N4
_chemical_formula_sum 'Pu4 Mg4 Tc8 N16'
_space_group_name_H-M_alt 'F m m m'
_space_group_IT_number 69
_space_group_name_Hall '-F 2 2'
_cell_length_a 6.243
_cell_length_b 6.264
_cell_length_c 8.863
_cell_angle_alpha 90.00
_cell_angle_beta 90.00
_cell_angle_gamma 90.00
loop_
_atom_site_label
_atom_site_fract_x
_atom_site_fract_y
_atom_site_fract_z
Pu1 0.000 0.000 0.000
Mg1 0.000 0.000 0.500
Tc1 0.250 0.250 0.250
N1 0.000 0.000 0.255
N2 0.250 0.250 0.000
```

Largest 10 diffraction maxima, by angle, 2θ from 15° to 90°:
2θ = 22.47°, I = 78
2θ = 35.12°, I = 100
2θ = 36.58°, I = 24
2θ = 40.78°, I = 79
2θ = 47.02°, I = 12
2θ = 47.15°, I = 12
2θ = 55.89°, I = 14
2θ = 59.01°, I = 43
2θ = 70.53°, I = 28
2θ = 70.71°, I = 14



No. 5
The following is a calculated PXRD pattern of Tb4Pr2Sm2Y. It was derived from a DFT-relaxed cell (PBE, Alexandria), using Cu Kα.
Peak positions follow from Bragg's law for the DFT cell and can differ from measured ones.

Structure:
```
data_Tb4Pr2Sm2Y
_chemical_formula_sum 'Tb8 Pr4 Sm4 Y2'
_space_group_name_H-M_alt 'C 1 2/m 1'
_space_group_IT_number 12
_cell_length_a 18.920
_cell_length_b 3.644
_cell_length_c 9.694
_cell_angle_alpha 90.00
_cell_angle_beta 115.73
_cell_angle_gamma 90.00
loop_
_space_group_symop_operation_xyz
'x,y,z'
'-x,-y,-z'
'-x,y,-z'
'x,-y,z'
'x+1/2,y+1/2,z'
'-x+1/2,-y+1/2,-z'
'-x+1/2,y+1/2,-z'
'x+1/2,-y+1/2,z'
loop_
_atom_site_label
_atom_site_fract_x
_atom_site_fract_y
_atom_site_fract_z
Tb1 0.019 0.000 0.334
Tb2 0.185 0.500 0.336
Pr1 0.166 0.000 0.000
Sm1 0.147 0.500 0.663
Y1 0.000 0.500 0.000
```

Largest 10 diffraction maxima, by angle, 2θ from 15° to 90°:
2θ = 28.50°, I = 33
2θ = 29.12°, I = 26
2θ = 30.72°, I = 52
2θ = 31.48°, I = 100
2θ = 33.15°, I = 91
2θ = 50.08°, I = 40
2θ = 53.99°, I = 21
2θ = 57.24°, I = 20
2θ = 59.91°, I = 47
2θ = 85.39°, I = 19



No. 6
The following is a calculated PXRD pattern of Cs2Tl2SeO4. It was derived from a DFT-relaxed cell (PBE, Alexandria), using Cu Kα.
Peak positions follow from Bragg's law for the DFT cell and can differ from measured ones.

Structure:
```
data_Cs2Tl2SeO4
_chemical_formula_sum 'Cs4 Tl4 Se2 O8'
_space_group_name_H-M_alt 'I 4/m m m'
_space_group_IT_number 139
_space_group_name_Hall '-I 4 2'
_cell_length_a 6.783
_cell_length_b 6.783
_cell_length_c 8.675
_cell_angle_alpha 90.00
_cell_angle_beta 90.00
_cell_angle_gamma 90.00
loop_
_atom_site_label
_atom_site_fract_x
_atom_site_fract_y
_atom_site_fract_z
Cs1 0.000 0.500 0.250
Tl1 0.000 0.000 0.165
Se1 0.000 0.000 0.500
O1 0.198 0.198 0.500
```

Largest 10 diffraction maxima, by angle, 2θ from 15° to 90°:
2θ = 18.50°, I = 25
2θ = 26.28°, I = 100
2θ = 33.54°, I = 42
2θ = 33.69°, I = 57
2θ = 37.50°, I = 51
2θ = 43.23°, I = 49
2θ = 58.52°, I = 31
2θ = 61.10°, I = 22
2θ = 65.22°, I = 26
2θ = 80.04°, I = 25